# NaIn2Hg2
Theoretical powder XRD pattern, a wavelength of 1.5418 Å. Input: a structure optimized by DFT (GGA-PBE).
Neutral-atom scattering factors, no anomalous dispersion.

Structural model:
```
10
Lattice="4.0701 0.0000 0.0000 0.0000 19.2385 0.0000 0.0000 0.0000 3.3612" Properties=species:S:1:pos:R:3 pbc="T T T"
Na 0.0000 0.0000 0.0000
Na 2.0351 9.6192 0.0000
In 0.0000 3.6706 0.0000
In 0.0000 15.5678 0.0000
In 2.0351 5.9486 0.0000
In 2.0351 13.2899 0.0000
Hg 0.0000 7.7774 1.6806
Hg 0.0000 11.4611 1.6806
Hg 2.0351 1.8419 1.6806
Hg 2.0351 17.3966 1.6806
```

Peak list (10 most intense, 10° ≤ 2θ ≤ 90°, in order of rising 2θ)
h k l  2theta  I (rel.)
0 4 0  18.45  28
1 1 0  22.33  28
0 2 1  28.12  28
1 5 0  32.01  100
0 4 1  32.50  27
1 1 1  34.93  74
1 3 1  37.42  27
0 6 1  38.81  40
1 11 1  64.25  23
1 5 2  64.72  26